Entry 1:
Calculated PXRD pattern of TmHfPd5 for Cu Kα, 1.54184 Å, from a GGA-PBE-relaxed structure.
Neutral-atom scattering factors, no anomalous dispersion.

Main lines, by angle (15° ≤ 2θ ≤ 90°):
- hkl 1 0 1, 24.7°, I 24
- hkl 1 1 2, 38.9°, I 100
- hkl 2 0 0, 44.7°, I 35
- hkl 0 0 4, 46.3°, I 14
- hkl 2 1 1, 51.8°, I 7
- hkl 2 2 0, 65.1°, I 11
- hkl 2 0 4, 66.4°, I 18
- hkl 3 1 2, 78.5°, I 25
- hkl 1 1 6, 80.9°, I 8
- hkl 2 2 4, 83.6°, I 10

Atomic structure:
abc: 4.0517 4.0517 7.8374
angles: 90.00 90.00 90.00
Atoms (fractional coordinates):
Tm (0.0000, 0.0000, 0.0000)
Hf (0.5000, 0.5000, 0.5000)
Pd (0.0000, 0.5000, 0.2729)
Pd (0.0000, 0.5000, 0.7271)
Pd (0.5000, 0.0000, 0.2729)
Pd (0.5000, 0.0000, 0.7271)
Pd (0.5000, 0.5000, 0.0000)

Entry 2:
Calculated PXRD pattern of Hf2UPd9 for Cu Kα, 1.54184 Å, from a GGA-PBE-relaxed structure.
Neutral-atom scattering factors, no anomalous dispersion.

Main lines, by angle (15° ≤ 2θ ≤ 90°):
- hkl 0 0 3, 21.9°, I 8
- hkl 1 0 3, 31.1°, I 7
- hkl 1 1 3, 38.4°, I 100
- hkl 2 0 0, 44.6°, I 49
- hkl 2 0 3, 50.2°, I 4
- hkl 1 1 6, 55.4°, I 3
- hkl 2 2 0, 65.0°, I 31
- hkl 0 0 9, 69.4°, I 2
- hkl 3 1 3, 78.1°, I 37
- hkl 2 2 6, 82.2°, I 11

Atomic structure:
abc: 4.0599 4.0599 12.1858
angles: 90.00 90.00 90.00
Atoms (fractional coordinates):
Hf (0.0000, 0.0000, 0.1633)
Hf (0.0000, 0.0000, 0.8367)
U (0.0000, 0.0000, 0.5000)
Pd (0.0000, 0.5000, 0.0000)
Pd (0.0000, 0.5000, 0.3240)
Pd (0.0000, 0.5000, 0.6760)
Pd (0.5000, 0.0000, 0.0000)
Pd (0.5000, 0.0000, 0.3240)
Pd (0.5000, 0.0000, 0.6760)
Pd (0.5000, 0.5000, 0.1615)
Pd (0.5000, 0.5000, 0.5000)
Pd (0.5000, 0.5000, 0.8385)

Entry 3:
Calculated PXRD pattern of HfVPd2 for Cu Kα, 1.54184 Å, from a GGA-PBE-relaxed structure.
Neutral-atom scattering factors, no anomalous dispersion.

Main lines, by angle (15° ≤ 2θ ≤ 90°):
- hkl 1 0 0, 21.8°, I 17
- hkl 1 0 1, 31.6°, I 14
- hkl 1 1 1, 38.7°, I 100
- hkl 2 0 0, 44.4°, I 34
- hkl 0 0 2, 46.2°, I 15
- hkl 2 2 0, 64.6°, I 11
- hkl 2 0 2, 66.0°, I 20
- hkl 3 1 1, 77.9°, I 25
- hkl 1 1 3, 80.5°, I 12
- hkl 2 2 2, 83.1°, I 11

Atomic structure:
abc: 4.0795 4.0795 3.9298
angles: 90.00 90.00 90.00
Atoms (fractional coordinates):
Hf (0.0000, 0.0000, 0.0000)
V (0.5000, 0.5000, 0.0000)
Pd (0.0000, 0.5000, 0.5000)
Pd (0.5000, 0.0000, 0.5000)

Entry 4:
Calculated PXRD pattern of Hf3VPd12 for Cu Kα, 1.54184 Å, from a GGA-PBE-relaxed structure.
Neutral-atom scattering factors, no anomalous dispersion.

Main lines, by angle (15° ≤ 2θ ≤ 90°):
- hkl 1 0 0, 22.3°, I 2
- hkl 1 0 3, 28.0°, I 2
- hkl 1 1 0, 31.7°, I 1
- hkl 1 1 4, 39.1°, I 100
- hkl 0 0 8, 45.4°, I 16
- hkl 2 0 0, 45.5°, I 32
- hkl 2 2 0, 66.3°, I 31
- hkl 1 1 12, 79.6°, I 12
- hkl 3 1 4, 79.8°, I 24
- hkl 2 2 8, 84.1°, I 11

Atomic structure:
abc: 3.9844 3.9844 15.9778
angles: 90.00 90.00 90.00
Atoms (fractional coordinates):
Hf (0.0000, 0.0000, 0.0000)
Hf (0.0000, 0.0000, 0.2550)
Hf (0.0000, 0.0000, 0.7450)
V (0.0000, 0.0000, 0.5000)
Pd (0.0000, 0.5000, 0.1258)
Pd (0.0000, 0.5000, 0.3777)
Pd (0.0000, 0.5000, 0.6223)
Pd (0.0000, 0.5000, 0.8742)
Pd (0.5000, 0.0000, 0.1258)
Pd (0.5000, 0.0000, 0.3777)
Pd (0.5000, 0.0000, 0.6223)
Pd (0.5000, 0.0000, 0.8742)
Pd (0.5000, 0.5000, 0.0000)
Pd (0.5000, 0.5000, 0.2515)
Pd (0.5000, 0.5000, 0.5000)
Pd (0.5000, 0.5000, 0.7485)